Calculated X-ray diffraction stick pattern
Compound: Ce2Er2In5
Radiation: Cu Kα X-rays
Structure: a DFT-relaxed cell (PBE, Alexandria)

The 6 most intense peaks (10° ≤ 2θ ≤ 90°), low angle first:
2theta	I/Imax	h k l
28.5	67.4	4 1 1
31.1	21.7	5 1 0
31.5	100.0	0 2 2
35.5	34.7	0 4 0
38.2	29.1	4 3 1
41.0	26.6	5 1 2

Atomic structure:
abc: 15.0027 10.1161 6.8567
angles: 90.00 90.00 90.00
Space group Ima2 (No. 46)
Symmetry-distinct sites (fractional):
Ce  0.1292  0.0160  0.0000 x8
Er  0.0000  0.0000  0.5014 x4
Er  0.2500  0.5169  0.9995 x4
In  0.0436  0.2496  0.2508 x8
In  0.1514  0.7497  0.2494 x8
In  0.2500  0.2501  0.2496 x4

Calculated X-ray diffraction stick pattern
Compound: Li2CeEr2In2
Radiation: Cu Kα X-rays
Structure: a DFT-relaxed cell (PBE, Alexandria)

The 6 most intense peaks (10° ≤ 2θ ≤ 90°), low angle first:
2theta	I/Imax	h k l
21.2	92.2	1 0 1
32.0	72.1	1 0 7
34.8	100.0	0 1 8
36.6	98.5	1 1 0
51.3	32.8	2 0 8
64.7	32.5	1 2 8

Atomic structure:
abc: 4.9134 4.9134 25.9799
angles: 90.00 90.00 120.00
Space group R-3m (No. 166, hexagonal axes)
Symmetry-distinct sites (fractional):
Li  0.0000  0.0000  0.0962 x6
Ce  0.0000  0.0000  0.5000 x3
Er  0.0000  0.0000  0.3716 x6
In  0.0000  0.0000  0.2399 x6